1.
Starting from DFT lattice parameters and positions (PBE+U), the PXRD pattern of Li2V2SiGeO10 was simulated for CuKα.
Neutral-atom scattering factors, no anomalous dispersion.

Structural model:
```
Li2V2SiGeO10
1.0
4.510 -4.552 0.000
4.510 4.552 0.000
0.000 0.000 4.709
Li V Si Ge O
2 2 1 1 10
Direct
0.239 0.761 0.000
0.761 0.239 0.000
0.000 0.500 0.393
0.500 0.000 0.607
0.000 0.000 0.500
0.500 0.500 0.500
0.000 0.500 0.739
0.005 0.791 0.296
0.209 0.995 0.704
0.281 0.508 0.272
0.492 0.719 0.728
0.500 0.000 0.261
0.508 0.281 0.728
0.719 0.492 0.272
0.791 0.005 0.704
0.995 0.209 0.296
```

Main lines, low angle first (10 to 80 degrees two-theta):
d [Å]  2θ/deg  I (rel.)
6.408  13.82  15
4.709  18.84  100
3.795  23.44  45
3.204  27.85  99
2.649  33.84  80
2.210  40.83  18
1.945  46.70  15
1.602  57.53  23
1.517  61.10  13
1.375  68.18  16

=====

2.
Starting from DFT lattice parameters and positions (PBE+U), the PXRD pattern of Li2V2SiGeO10 was simulated for CuKα.
Neutral-atom scattering factors, no anomalous dispersion.

Structural model:
```
Li2V2SiGeO10
1.0
4.779 0.000 0.000
0.000 6.343 0.000
-0.477 0.000 6.474
Li V Si Ge O
2 2 1 1 10
Direct
0.000 0.242 0.000
0.000 0.758 0.000
0.396 0.000 0.741
0.607 0.500 0.239
0.518 0.000 0.238
0.483 0.500 0.744
0.263 0.276 0.757
0.263 0.724 0.757
0.266 0.500 0.189
0.275 0.000 0.046
0.372 0.000 0.461
0.665 0.500 0.518
0.716 0.212 0.225
0.716 0.788 0.225
0.736 0.000 0.802
0.742 0.500 0.952
```

Main lines, low angle first (10 to 80 degrees two-theta):
d [Å]  2θ/deg  I (rel.)
4.766  18.62  100
3.810  23.35  15
3.710  23.99  19
3.237  27.56  43
3.172  28.14  43
2.774  32.27  22
2.640  33.95  42
2.591  34.63  12
2.088  43.33  16
1.406  66.49  13